(1)
For NaGa2OsO8, a structure optimized by DFT (GGA-PBE) gives the calculated powder X-ray diffraction pattern in this record (Cu Kα, 1.54184 Å).
Neutral-atom scattering factors, no anomalous dispersion.

Structural model:
a = 4.3401 Å, b = 6.3118 Å, c = 4.8622 Å
α = 90.00°, β = 90.57°, γ = 90.00°
Space group P2/m (No. 10)
One atom of each set of equivalent atoms:
Na  0.0000  0.0000  0.0000 (multiplicity 1)
Ga  0.5000  0.2536  0.5000 (multiplicity 2)
Os  0.0000  0.5000  0.0000 (multiplicity 1)
O  0.2424  0.0000  0.4416 (multiplicity 2)
O  0.2458  0.2945  0.8465 (multiplicity 4)
O  0.2608  0.5000  0.3326 (multiplicity 2)

Peak list (6 most intense, 2θ = 5–70°, in order of rising 2θ)
d (Å), I (rel.), hkl
6.312, 100, 0 1 0
3.852, 64, 0 1 1
3.254, 73, 1 0 -1
3.222, 84, 1 0 1
2.647, 55, 0 2 1
2.552, 82, 1 2 0

=====

(2)
For NaGa2OsO6, a structure optimized by DFT (GGA-PBE) gives the calculated powder X-ray diffraction pattern in this record (Cu Kα, 1.54184 Å).
Neutral-atom scattering factors, no anomalous dispersion.

Structural model:
a = 9.5665 Å, b = 10.3141 Å, c = 6.1621 Å
α = 90.00°, β = 113.85°, γ = 90.00°
Space group C2/c (No. 15)
One atom of each set of equivalent atoms:
Na  0.0000  0.1097  0.2500 (multiplicity 4)
Ga  0.1293  0.4235  0.1711 (multiplicity 8)
Os  0.0000  0.1833  0.7500 (multiplicity 4)
O  0.1108  0.2473  0.0519 (multiplicity 8)
O  0.1106  0.4391  0.4628 (multiplicity 8)
O  0.1442  0.0967  0.6723 (multiplicity 8)

Peak list (6 most intense, 2θ = 5–70°, in order of rising 2θ)
d (Å), I (rel.), hkl
5.161, 64, 1 1 -1
4.375, 46, 2 0 0
3.805, 100, 0 2 1
3.200, 48, 1 3 0
3.025, 43, 3 1 -1
2.227, 32, 2 4 -1

=====

(3)
For NaPaGa2O8, a structure optimized by DFT (GGA-PBE) gives the calculated powder X-ray diffraction pattern in this record (Cu Kα, 1.54184 Å).
Neutral-atom scattering factors, no anomalous dispersion.

Structural model:
a = 6.9757 Å, b = 6.9757 Å, c = 7.1343 Å
α = 90.00°, β = 90.00°, γ = 90.00°
Space group I-4m2 (No. 119)
One atom of each set of equivalent atoms:
Na  0.0000  0.0000  0.0000 (multiplicity 2)
Pa  0.0000  0.5000  0.7500 (multiplicity 2)
Ga  0.0000  0.0000  0.5000 (multiplicity 2)
Ga  0.0000  0.5000  0.2500 (multiplicity 2)
O  0.0000  0.1983  0.6752 (multiplicity 8)
O  0.0000  0.3378  0.0470 (multiplicity 8)

Peak list (6 most intense, 2θ = 5–70°, in order of rising 2θ)
d (Å), I (rel.), hkl
4.988, 71, 1 0 1
4.933, 58, 1 1 0
3.488, 100, 2 0 0
2.891, 86, 1 1 2
2.208, 27, 3 0 1
1.876, 69, 3 1 2

=====

(4)
For Na4Pm3GaO8, a structure optimized by DFT (GGA-PBE) gives the calculated powder X-ray diffraction pattern in this record (Cu Kα, 1.54184 Å).
Neutral-atom scattering factors, no anomalous dispersion.

Structural model:
a = 12.0482 Å, b = 6.8232 Å, c = 6.8455 Å
α = 90.00°, β = 124.38°, γ = 90.00°
Space group C2/m (No. 12)
One atom of each set of equivalent atoms:
Na  0.0000  0.0000  0.0000 (multiplicity 2)
Na  0.0000  0.5000  0.0000 (multiplicity 2)
Na  0.2500  0.2500  0.5000 (multiplicity 4)
Pm  0.0000  0.0000  0.5000 (multiplicity 2)
Pm  0.2500  0.2500  0.0000 (multiplicity 4)
Ga  0.0000  0.5000  0.5000 (multiplicity 2)
O  0.0109  0.2840  0.7169 (multiplicity 8)
O  0.2343  0.0000  0.7514 (multiplicity 4)
O  0.2388  0.0000  0.2225 (multiplicity 4)

Peak list (6 most intense, 2θ = 5–70°, in order of rising 2θ)
d (Å), I (rel.), hkl
5.628, 100, 2 0 -1
2.921, 33, 0 2 1
2.813, 61, 4 0 -2
2.486, 33, 4 0 0
2.416, 59, 2 2 -2
1.735, 21, 2 2 2

=====

(5)
For Na4Pr3GaO8, a structure optimized by DFT (GGA-PBE) gives the calculated powder X-ray diffraction pattern in this record (Cu Kα, 1.54184 Å).
Neutral-atom scattering factors, no anomalous dispersion.

Structural model:
a = 12.2618 Å, b = 6.9174 Å, c = 6.8589 Å
α = 90.00°, β = 123.24°, γ = 90.00°
Space group C2/m (No. 12)
One atom of each set of equivalent atoms:
Na  0.0000  0.0000  0.0000 (multiplicity 2)
Na  0.0000  0.5000  0.0000 (multiplicity 2)
Na  0.2500  0.2500  0.5000 (multiplicity 4)
Pr  0.0000  0.0000  0.5000 (multiplicity 2)
Pr  0.2500  0.2500  0.0000 (multiplicity 4)
Ga  0.0000  0.5000  0.5000 (multiplicity 2)
O  0.0136  0.2907  0.7169 (multiplicity 8)
O  0.2262  0.0000  0.2118 (multiplicity 4)
O  0.2317  0.0000  0.7438 (multiplicity 4)

Peak list (6 most intense, 2θ = 5–70°, in order of rising 2θ)
d (Å), I (rel.), hkl
5.666, 100, 2 0 -1
2.961, 34, 0 2 1
2.868, 68, 2 2 0
2.564, 38, 4 0 0
2.435, 65, 2 2 -2
1.774, 23, 2 2 2